No. 1
For RbNdNb2O7, DFT lattice parameters and positions (GGA-PBE) gives the computed powder diffractogram in this record (copper Kα).

The 10 most intense peaks (2θ = 15–90°), in order of rising 2θ:
2θ 28.4, intensity 100; 2θ 32.9, intensity 31; 2θ 32.9, intensity 19; 2θ 33.9, intensity 11; 2θ 41.3, intensity 6; 2θ 47.2, intensity 38; 2θ 53.8, intensity 8; 2θ 56.0, intensity 31; 2θ 58.7, intensity 8; 2θ 64.5, intensity 8

Structure:
```
RbNdNb2O7
1.0
-10.9234 2.7208 2.7231
10.9234 -2.7208 2.7231
10.9234 2.7208 -2.7231
Rb Nd Nb O
2 2 4 14
direct
0.0000 0.0000 0.0000
0.0000 0.5000 0.5000
0.9684 0.7204 0.7480
0.9723 0.2204 0.2520
0.5092 0.6550 0.1435
0.5092 0.8657 0.3542
0.5114 0.1550 0.6458
0.5114 0.3657 0.8565
0.0203 0.4841 0.8337
0.0203 0.6865 0.0361
0.0233 0.0596 0.6118
0.0233 0.9115 0.4637
0.4384 0.0613 0.5055
0.4384 0.4328 0.8771
0.4478 0.4115 0.3882
0.4478 0.5596 0.5363
0.4586 0.7881 0.1705
0.5558 0.5613 0.1229
0.5558 0.9328 0.4945
0.6176 0.2881 0.8295
0.6504 0.1865 0.1663
0.6504 0.9841 0.9639
```


No. 2
For MgCdC2O6, DFT lattice parameters and positions (GGA-PBE) gives the computed powder diffractogram in this record (copper Kα).

The 10 most intense peaks (2θ = 15–90°), in order of rising 2θ:
2θ 17.3, intensity 24; 2θ 22.2, intensity 46; 2θ 24.4, intensity 45; 2θ 31.7, intensity 100; 2θ 36.4, intensity 21; 2θ 37.5, intensity 26; 2θ 41.6, intensity 33; 2θ 45.2, intensity 23; 2θ 52.3, intensity 32; 2θ 52.5, intensity 20

Structure:
```
MgCdC2O6
1.0
2.3993 1.3852 5.1177
-2.3993 1.3852 5.1177
0.0000 -2.7704 5.1177
Mg Cd C O
1 1 2 6
direct
0.0000 0.0000 0.0000
0.5000 0.5000 0.5000
0.2549 0.2549 0.2549
0.7451 0.7451 0.7451
0.0036 0.5395 0.2199
0.2199 0.0036 0.5395
0.4605 0.7801 0.9964
0.5395 0.2199 0.0036
0.7801 0.9964 0.4605
0.9964 0.4605 0.7801
```


No. 3
For Tb11O20, DFT lattice parameters and positions (GGA-PBE) gives the computed powder diffractogram in this record (copper Kα).

The 10 most intense peaks (2θ = 15–90°), in order of rising 2θ:
2θ 28.8, intensity 100; 2θ 32.7, intensity 11; 2θ 33.1, intensity 11; 2θ 34.2, intensity 11; 2θ 47.2, intensity 8; 2θ 47.3, intensity 8; 2θ 48.1, intensity 15; 2θ 48.3, intensity 15; 2θ 56.0, intensity 13; 2θ 57.9, intensity 10

Structure:
```
Tb11O20
1.0
6.5064 0.0000 0.0000
-1.0168 6.5362 0.0000
-0.3429 -0.9531 10.0508
Tb O
11 20
direct
0.0000 0.0000 0.0000
0.1258 0.5493 0.1714
0.1822 0.1138 0.3686
0.2716 0.6374 0.5207
0.3680 0.1448 0.7226
0.4681 0.7336 0.9216
0.5319 0.2664 0.0784
0.6320 0.8552 0.2774
0.7284 0.3626 0.4793
0.8178 0.8862 0.6314
0.8742 0.4507 0.8286
0.0353 0.4272 0.3697
0.0389 0.1646 0.7979
0.1240 0.6656 0.9612
0.1525 0.9448 0.5656
0.2044 0.2203 0.1605
0.2884 0.8006 0.3290
0.3328 0.0363 0.9300
0.3721 0.3270 0.5399
0.4577 0.8158 0.7028
0.4717 0.5905 0.1283
0.5283 0.4095 0.8717
0.5423 0.1842 0.2972
0.6279 0.6730 0.4601
0.6672 0.9637 0.0700
0.7116 0.1994 0.6710
0.7956 0.7797 0.8395
0.8475 0.0552 0.4344
0.8760 0.3344 0.0388
0.9611 0.8354 0.2021
0.9647 0.5728 0.6303
```


No. 4
For Ag7Pb2, DFT lattice parameters and positions (GGA-PBE) gives the computed powder diffractogram in this record (copper Kα).

The 10 most intense peaks (2θ = 15–90°), in order of rising 2θ:
2θ 33.6, intensity 16; 2θ 35.4, intensity 100; 2θ 36.5, intensity 74; 2θ 37.9, intensity 31; 2θ 39.3, intensity 15; 2θ 41.0, intensity 29; 2θ 42.8, intensity 77; 2θ 59.8, intensity 33; 2θ 64.5, intensity 18; 2θ 73.0, intensity 25

Structure:
```
Ag7Pb2
1.0
3.0956 0.0000 0.0000
-1.5478 2.6808 0.0000
0.0000 0.0000 30.8575
Ag Pb
7 2
direct
0.0000 0.0000 0.0000
0.0000 0.0000 0.2203
0.0000 0.0000 0.7797
0.3333 0.6667 0.1468
0.3333 0.6667 0.9267
0.6667 0.3333 0.0733
0.6667 0.3333 0.8532
0.3333 0.6667 0.6961
0.6667 0.3333 0.3039
```


No. 5
For Er6TmNi2S2, DFT lattice parameters and positions (GGA-PBE) gives the computed powder diffractogram in this record (copper Kα).

The 10 most intense peaks (2θ = 15–90°), in order of rising 2θ:
2θ 30.2, intensity 67; 2θ 31.7, intensity 68; 2θ 32.0, intensity 43; 2θ 34.8, intensity 52; 2θ 35.8, intensity 100; 2θ 36.2, intensity 47; 2θ 38.3, intensity 21; 2θ 49.0, intensity 28; 2θ 54.1, intensity 21; 2θ 56.9, intensity 36

Structure:
```
Er6TmNi2S2
1.0
-1.8590 7.3444 4.5422
1.8590 -7.3444 4.5422
1.8590 7.3444 -4.5422
Er Tm Ni S
6 1 2 2
direct
0.1076 0.7930 0.3146
0.1198 0.0000 0.1198
0.4785 0.7930 0.6854
0.5204 0.1543 0.3662
0.7881 0.1543 0.6338
0.8802 0.0000 0.8802
0.4012 0.4012 0.0000
0.2511 0.4910 0.7601
0.7309 0.4910 0.2399
0.1559 0.6559 0.5000
0.7495 0.7495 0.0000
```


No. 6
For SrAu2S4O16, DFT lattice parameters and positions (GGA-PBE) gives the computed powder diffractogram in this record (copper Kα).

The 10 most intense peaks (2θ = 15–90°), in order of rising 2θ:
2θ 17.6, intensity 49; 2θ 18.6, intensity 63; 2θ 19.4, intensity 100; 2θ 22.7, intensity 30; 2θ 23.2, intensity 34; 2θ 24.2, intensity 28; 2θ 27.2, intensity 28; 2θ 28.4, intensity 46; 2θ 30.0, intensity 68; 2θ 30.5, intensity 28

Structure:
```
SrAu2S4O16
1.0
4.8463 -7.8401 0.0000
4.8463 7.8401 0.0000
-4.2560 0.0000 9.1393
Sr Au S O
2 4 8 32
direct
0.1312 0.8688 0.7500
0.8688 0.1312 0.2500
0.0000 0.5000 0.0000
0.5000 0.0000 0.5000
0.5000 0.5000 0.0000
0.5000 0.5000 0.5000
0.1460 0.2581 0.9976
0.2299 0.6201 0.4590
0.2581 0.1460 0.4976
0.3799 0.7701 0.0410
0.6201 0.2299 0.9590
0.7419 0.8540 0.5024
0.7701 0.3799 0.5410
0.8540 0.7419 0.0024
0.0546 0.1954 0.0901
0.0574 0.3268 0.9017
0.1065 0.4584 0.3366
0.1375 0.1629 0.3932
0.1605 0.6935 0.5503
0.1629 0.1375 0.8932
0.1954 0.0546 0.5901
0.2554 0.6764 0.1124
0.3065 0.8395 0.9497
0.3236 0.7446 0.3876
0.3268 0.0574 0.4017
0.3302 0.4108 0.1026
0.3634 0.6036 0.5679
0.3964 0.6366 0.9321
0.4108 0.3302 0.6026
0.4584 0.1065 0.8366
0.5416 0.8935 0.1634
0.5892 0.6698 0.3974
0.6036 0.3634 0.0679
0.6366 0.3964 0.4321
0.6698 0.5892 0.8974
0.6732 0.9426 0.5983
0.6764 0.2554 0.6124
0.6935 0.1605 0.0503
0.7446 0.3236 0.8876
0.8046 0.9454 0.4099
0.8371 0.8625 0.1068
0.8395 0.3065 0.4497
0.8625 0.8371 0.6068
0.8935 0.5416 0.6634
0.9426 0.6732 0.0983
0.9454 0.8046 0.9099
```


No. 7
For K2DyF5, DFT lattice parameters and positions (GGA-PBE) gives the computed powder diffractogram in this record (copper Kα).

The 10 most intense peaks (2θ = 15–90°), in order of rising 2θ:
2θ 16.4, intensity 100; 2θ 17.1, intensity 53; 2θ 18.6, intensity 26; 2θ 29.5, intensity 63; 2θ 29.9, intensity 83; 2θ 30.3, intensity 49; 2θ 41.8, intensity 38; 2θ 43.1, intensity 30; 2θ 48.1, intensity 27; 2θ 53.1, intensity 37

Structure:
```
K2DyF5
1.0
10.3459 0.0000 0.0000
0.0000 7.1783 0.0000
0.0000 0.0000 6.3605
K Dy F
8 4 20
direct
0.1702 0.0042 0.0404
0.1702 0.4958 0.0404
0.3298 0.5042 0.5404
0.3298 0.9958 0.5404
0.6702 0.0042 0.4596
0.6702 0.4958 0.4596
0.8298 0.5042 0.9596
0.8298 0.9958 0.9596
0.0051 0.2500 0.5664
0.4949 0.7500 0.0664
0.5051 0.2500 0.9336
0.9949 0.7500 0.4336
0.0101 0.2500 0.9093
0.0777 0.5369 0.6538
0.0777 0.9631 0.6538
0.1737 0.2500 0.3635
0.1997 0.7500 0.3337
0.3003 0.2500 0.8337
0.3263 0.7500 0.8635
0.4223 0.0369 0.1538
0.4223 0.4631 0.1538
0.4899 0.7500 0.4093
0.5101 0.2500 0.5907
0.5777 0.5369 0.8462
0.5777 0.9631 0.8462
0.6737 0.2500 0.1365
0.6997 0.7500 0.1663
0.8003 0.2500 0.6663
0.8263 0.7500 0.6365
0.9223 0.0369 0.3462
0.9223 0.4631 0.3462
0.9899 0.7500 0.0907
```


No. 8
For Cs2PdBrF3, DFT lattice parameters and positions (GGA-PBE) gives the computed powder diffractogram in this record (copper Kα).

The 10 most intense peaks (2θ = 15–90°), in order of rising 2θ:
2θ 20.7, intensity 27; 2θ 26.5, intensity 45; 2θ 27.8, intensity 35; 2θ 29.2, intensity 100; 2θ 29.6, intensity 38; 2θ 30.8, intensity 57; 2θ 36.0, intensity 38; 2θ 45.9, intensity 22; 2θ 52.0, intensity 22; 2θ 53.8, intensity 26

Structure:
```
Cs2PdBrF3
1.0
3.9504 0.0000 0.0000
0.0000 9.6788 0.0000
0.0000 0.0000 8.5869
Cs Pd Br F
4 2 2 6
direct
0.0000 0.2105 0.0000
0.0000 0.2895 0.5000
0.0000 0.7105 0.5000
0.0000 0.7895 0.0000
0.5000 0.0000 0.7120
0.5000 0.5000 0.2120
0.5000 0.0000 0.4290
0.5000 0.5000 0.9290
0.5000 0.0000 0.9503
0.5000 0.2053 0.7248
0.5000 0.2947 0.2248
0.5000 0.5000 0.4503
0.5000 0.7053 0.2248
0.5000 0.7947 0.7248
```


No. 9
For LaPmS2, DFT lattice parameters and positions (GGA-PBE) gives the computed powder diffractogram in this record (copper Kα).

The 10 most intense peaks (2θ = 15–90°), in order of rising 2θ:
2θ 26.7, intensity 73; 2θ 30.9, intensity 100; 2θ 44.3, intensity 73; 2θ 52.5, intensity 36; 2θ 55.0, intensity 25; 2θ 64.4, intensity 12; 2θ 71.0, intensity 15; 2θ 73.1, intensity 32; 2θ 81.5, intensity 24; 2θ 87.6, intensity 11

Structure:
```
LaPmS2
1.0
4.0926 0.0000 0.0000
0.0000 4.0926 0.0000
0.0000 0.0000 5.7825
La Pm S
1 1 2
direct
0.0000 0.0000 0.0000
0.5000 0.5000 0.5000
0.0000 0.0000 0.5000
0.5000 0.5000 0.0000
```


No. 10
For Ga2Ir9, DFT lattice parameters and positions (GGA-PBE) gives the computed powder diffractogram in this record (copper Kα).

The 10 most intense peaks (2θ = 15–90°), in order of rising 2θ:
2θ 39.2, intensity 38; 2θ 39.9, intensity 100; 2θ 40.7, intensity 90; 2θ 41.8, intensity 30; 2θ 45.4, intensity 26; 2θ 46.9, intensity 85; 2θ 68.4, intensity 42; 2θ 68.7, intensity 27; 2θ 81.7, intensity 27; 2θ 83.4, intensity 23

Structure:
```
Ga2Ir9
1.0
2.7447 0.0000 0.0000
-1.3723 2.3769 0.0000
0.0000 0.0000 36.7454
Ga Ir
2 9
direct
0.3333 0.6667 0.3048
0.6667 0.3333 0.6952
0.0000 0.0000 0.0000
0.0000 0.0000 0.1819
0.0000 0.0000 0.8181
0.3333 0.6667 0.1216
0.3333 0.6667 0.7571
0.3333 0.6667 0.9392
0.6667 0.3333 0.0608
0.6667 0.3333 0.2429
0.6667 0.3333 0.8784
```


No. 11
For Nb2Ir3Pd, DFT lattice parameters and positions (GGA-PBE) gives the computed powder diffractogram in this record (copper Kα).

The 10 most intense peaks (2θ = 15–90°), in order of rising 2θ:
2θ 39.1, intensity 100; 2θ 39.5, intensity 98; 2θ 45.5, intensity 65; 2θ 46.0, intensity 32; 2θ 66.7, intensity 41; 2θ 79.5, intensity 25; 2θ 80.2, intensity 25; 2θ 80.4, intensity 12; 2θ 80.7, intensity 12; 2θ 83.9, intensity 11

Structure:
```
Nb2Ir3Pd
1.0
2.7994 0.0000 0.0000
0.0000 3.9469 0.0000
0.0000 0.0000 8.5221
Nb Ir Pd
2 3 1
direct
0.0000 0.0000 0.0000
0.5000 0.5000 0.4975
0.0000 0.0000 0.3314
0.5000 0.5000 0.1736
0.5000 0.5000 0.8373
0.0000 0.0000 0.6695
```